1.
# ErHfPa2As4
Simulated X-ray powder pattern, λ = 1.5418 Å (Cu Kα). Input: a cell relaxed with PBE.
No peak broadening, texture or thermal motion is included.

Most intense lines, 2θ from 10° to 80°, in order of falling intensity:
(1 1 1), 2θ = 31.5°, intensity 100; (0 2 0), 2θ = 44.9°, intensity 38; (3 1 -1), 2θ = 45.3°, intensity 37; (0 0 2), 2θ = 27.1°, intensity 28; (4 2 0), 2θ = 75.0°, intensity 17; (2 2 -2), 2θ = 55.9°, intensity 13; (2 2 2), 2θ = 65.7°, intensity 12; (0 2 4), 2θ = 74.5°, intensity 11; (1 1 3), 2θ = 53.4°, intensity 9; (2 0 0), 2θ = 27.4°, intensity 9; (0 0 4), 2θ = 56.0°, intensity 7; (4 0 0), 2θ = 56.5°, intensity 6

Cell and atoms:
Cell lengths 6.918, 4.038, 6.979 Å; angles 90.00, 109.71, 90.00 degrees
Space group P2/m (No. 10)
One atom of each set of equivalent atoms:
Er  0.000  0.000  0.000 [1 per cell]
Hf  0.000  0.500  0.500 [1 per cell]
Pa  0.500  0.000  0.500 [1 per cell]
Pa  0.500  0.500  0.000 [1 per cell]
As  0.237  0.000  0.740 [2 per cell]
As  0.241  0.500  0.253 [2 per cell]

2.
# Ba5GaSe8
Simulated X-ray powder pattern, λ = 1.5418 Å (Cu Kα). Input: a cell relaxed with PBE.
No peak broadening, texture or thermal motion is included.

Most intense lines, 2θ from 10° to 80°, in order of falling intensity:
(1 3 0), 2θ = 30.3°, intensity 100; (1 0 3), 2θ = 26.1°, intensity 84; (1 2 3), 2θ = 32.5°, intensity 68; (3 2 3), 2θ = 42.8°, intensity 49; (2 1 1), 2θ = 22.8°, intensity 46; (3 0 1), 2θ = 29.9°, intensity 43; (2 0 4), 2θ = 38.0°, intensity 38; (4 2 0), 2θ = 43.4°, intensity 31; (3 1 2), 2θ = 34.5°, intensity 26; (4 1 3), 2θ = 47.2°, intensity 23; (3 2 1), 2θ = 35.7°, intensity 21; (1 3 4), 2θ = 45.1°, intensity 20

Cell and atoms:
Cell lengths 9.319, 9.319, 11.006 Å; angles 90.00, 90.00, 90.00 degrees
Space group I-4 (No. 82)
One atom of each set of equivalent atoms:
Ba  0.000  0.000  0.000 [2 per cell]
Ba  0.134  0.262  0.617 [8 per cell]
Ga  0.000  0.500  0.250 [2 per cell]
Se  0.070  0.248  0.308 [8 per cell]
Se  0.107  0.309  0.912 [8 per cell]